Li2Mn3TeO8: theoretical powder XRD pattern (λ = 1.5418 Å (Cu Kα)), based on a structure optimized by DFT (GGA+U).
Kinematic intensities with the Lorentz-polarization factor, no thermal factor.

The 10 most intense peaks (2θ from 10° to 90°), low angle first:
| d [Å] | intensity | index |
| --- | --- | --- |
| 5.018 | 100 | 1 1 0 |
| 4.958 | 45 | 1 0 1 |
| 4.383 | 8 | 1 0 -1 |
| 2.675 | 21 | 1 0 -3 |
| 2.639 | 15 | 1 1 4 |
| 2.626 | 17 | 1 -1 2 |
| 2.197 | 22 | 0 2 -2 |
| 2.187 | 22 | 2 0 -2 |
| 2.154 | 21 | 2 2 4 |
| 1.532 | 13 | 2 -2 0 |

Structural model:
```
data_Li2Mn3TeO8
_chemical_formula_sum 'Li4 Mn6 Te2 O16'
_cell_length_a 6.048
_cell_length_b 6.129
_cell_length_c 10.799
_cell_angle_alpha 74.39
_cell_angle_beta 74.79
_cell_angle_gamma 60.45
_symmetry_space_group_name_H-M 'P -1'
_symmetry_Int_Tables_number 2
_symmetry_space_group_name_Hall '-P 1'
loop_
_atom_site_label
_atom_site_fract_x
_atom_site_fract_y
_atom_site_fract_z
Li1 0.077 0.072 0.290
Li2 0.421 0.437 0.210
Mn1 0.000 0.000 0.000
Mn2 0.000 0.500 0.000
Mn3 0.000 0.500 0.500
Mn4 0.500 0.000 0.000
Mn5 0.500 0.000 0.500
Mn6 0.500 0.500 0.500
Te1 0.254 0.238 0.750
O1 0.080 0.668 0.133
O2 0.124 0.573 0.634
O3 0.144 0.118 0.638
O4 0.151 0.111 0.092
O5 0.350 0.347 0.409
O6 0.360 0.367 0.858
O7 0.381 0.906 0.869
O8 0.414 0.868 0.367
```

=====

Ba2LaWO6: theoretical powder XRD pattern (λ = 1.5418 Å (Cu Kα)), based on a structure optimized by DFT (GGA+U).
Kinematic intensities with the Lorentz-polarization factor, no thermal factor.

The 10 most intense peaks (2θ from 10° to 90°), low angle first:
| d [Å] | intensity | index |
| --- | --- | --- |
| 5.049 | 2 | 1 1 1 |
| 4.373 | 3 | 2 0 0 |
| 3.092 | 100 | 2 2 0 |
| 2.186 | 29 | 4 0 0 |
| 1.785 | 41 | 4 2 2 |
| 1.546 | 18 | 4 4 0 |
| 1.383 | 19 | 6 2 0 |
| 1.262 | 6 | 4 4 4 |
| 1.169 | 22 | 6 4 2 |
| 1.093 | 3 | 8 0 0 |

Structural model:
```
data_Ba2LaWO6
_chemical_formula_sum 'Ba8 La4 W4 O24'
_cell_length_a 8.745
_cell_length_b 8.745
_cell_length_c 8.745
_cell_angle_alpha 90.00
_cell_angle_beta 90.00
_cell_angle_gamma 90.00
_symmetry_space_group_name_H-M 'F m -3 m'
_symmetry_Int_Tables_number 225
_symmetry_space_group_name_Hall '-F 4 2 3'
loop_
_atom_site_label
_atom_site_fract_x
_atom_site_fract_y
_atom_site_fract_z
Ba1 0.250 0.250 0.250
La1 0.000 0.000 0.000
W1 0.000 0.000 0.500
O1 0.000 0.000 0.271
```

=====

CoGeO3: theoretical powder XRD pattern (λ = 1.5418 Å (Cu Kα)), based on a structure optimized by DFT (GGA+U).
Kinematic intensities with the Lorentz-polarization factor, no thermal factor.

The 10 most intense peaks (2θ from 10° to 90°), low angle first:
| d [Å] | intensity | index |
| --- | --- | --- |
| 3.306 | 37 | 2 2 0 |
| 3.015 | 92 | 3 1 0 |
| 2.975 | 94 | 2 2 -1 |
| 2.848 | 38 | 3 1 -1 |
| 2.618 | 99 | 2 2 1 |
| 2.595 | 100 | 1 3 -1 |
| 2.565 | 74 | 0 0 2 |
| 1.628 | 46 | 5 3 -1 |
| 1.514 | 44 | 1 3 -3 |
| 1.476 | 47 | 5 3 1 |

Structural model:
```
data_CoGeO3
_chemical_formula_sum 'Co8 Ge8 O24'
_cell_length_a 9.784
_cell_length_b 9.138
_cell_length_c 5.238
_cell_angle_alpha 90.00
_cell_angle_beta 101.68
_cell_angle_gamma 90.00
_symmetry_space_group_name_H-M 'C 1 2/c 1'
_symmetry_Int_Tables_number 15
_symmetry_space_group_name_Hall '-C 2yc'
loop_
_atom_site_label
_atom_site_fract_x
_atom_site_fract_y
_atom_site_fract_z
Co1 0.000 0.094 0.250
Co2 0.000 0.270 0.750
Ge1 0.200 0.405 0.285
O1 0.115 0.092 0.635
O2 0.118 0.254 0.116
O3 0.141 0.430 0.590
```